Structure and theoretical PXRD pattern of La7Nb3W4O30 (a cell relaxed with GGA+U; Cu Kα (λ = 1.5418 Å)).

Atomic structure:
Lattice parameters (Å, degrees): 6.968 10.239 10.257 115.05 103.42 102.61
Space group P-1 (No. 2)
One atom of each set of equivalent atoms:
La1 0.000 0.000 0.000 x1
La2 0.120 0.757 0.569 x2
La3 0.359 0.803 0.236 x2
La4 0.446 0.569 0.808 x2
Nb1 0.025 0.389 0.173 x2
Nb2 0.500 0.000 0.000 x1
W1 0.147 0.168 0.788 x2
W2 0.359 0.212 0.378 x2
O1 0.009 0.221 0.940 x2
O2 0.035 0.514 0.648 x2
O3 0.050 0.797 0.337 x2
O4 0.066 0.055 0.283 x2
O5 0.218 0.276 0.224 x2
O6 0.221 0.613 0.958 x2
O7 0.221 0.828 0.858 x2
O8 0.259 0.044 0.656 x2
O9 0.267 0.545 0.208 x2
O10 0.286 0.335 0.537 x2
O11 0.355 0.142 0.963 x2
O12 0.372 0.348 0.865 x2
O13 0.389 0.037 0.176 x2
O14 0.396 0.654 0.608 x2
O15 0.491 0.866 0.519 x2

Main lines, most intense first (10° ≤ 2θ ≤ 80°):
- 2θ = 27.28°, intensity 100, (0 3 -2)
- 2θ = 30.17°, intensity 45, (2 -1 1)
- 2θ = 30.00°, intensity 24, (2 1 -2)
- 2θ = 20.54°, intensity 18, (0 2 0)
- 2θ = 33.51°, intensity 16, (2 0 1)
- 2θ = 52.94°, intensity 14, (0 0 5)
- 2θ = 45.08°, intensity 14, (-2 1 4)
- 2θ = 45.28°, intensity 13, (2 -4 3)
- 2θ = 44.89°, intensity 13, (2 3 -1)
- 2θ = 55.10°, intensity 11, (-4 1 3)